# CsLaO2
Calculated XRD peak list, Cu Kα (weighted mean of Kα1 and Kα2). Input: the GGA-PBE geometry in Alexandria.
No peak broadening, texture or thermal motion is included.

Crystal structure
```
CsLaO2
1.0
7.538 0.000 0.000
0.000 7.538 0.000
0.000 0.000 6.984
Cs La O
4 4 8
Cartesian
0.000 0.000 1.746
0.000 0.000 5.238
3.769 3.769 1.746
3.769 3.769 5.238
0.000 3.769 1.746
0.000 3.769 5.238
3.769 0.000 1.746
3.769 0.000 5.238
1.070 2.699 0.000
1.070 4.839 3.492
2.699 1.070 3.492
2.699 6.468 0.000
4.839 1.070 0.000
4.839 6.468 3.492
6.468 2.699 3.492
6.468 4.839 0.000
```

Most intense lines, 2θ from 15° to 90°, low angle first:
2θ = 23.61°, d = 3.769 Å, I 100, hkl 2 0 0
2θ = 25.51°, d = 3.492 Å, I 33, hkl 0 0 2
2θ = 33.63°, d = 2.665 Å, I 43, hkl 2 2 0
2θ = 35.03°, d = 2.562 Å, I 80, hkl 2 0 2
2θ = 42.68°, d = 2.119 Å, I 43, hkl 2 2 2
2θ = 54.43°, d = 1.686 Å, I 22, hkl 4 2 0
2θ = 55.40°, d = 1.658 Å, I 24, hkl 4 0 2
2θ = 58.23°, d = 1.584 Å, I 17, hkl 2 0 4
2θ = 61.04°, d = 1.518 Å, I 29, hkl 4 2 2
2θ = 78.94°, d = 1.213 Å, I 15, hkl 4 2 4